Entry 1:
Structure and theoretical X-ray powder pattern of CrHgSb (a PBE-relaxed structure; λ = 1.5418 Å (Cu Kα)).
Kinematic intensities with the Lorentz-polarization factor, no thermal factor.

Cell and atoms:
Cell: 6.5602 6.5602 6.5602 Å, 90.00 90.00 90.00°
Element x y z (fractional)
Cr 0.0000 0.0000 0.0000
Cr 0.0000 0.5000 0.5000
Cr 0.5000 0.0000 0.5000
Cr 0.5000 0.5000 0.0000
Hg 0.2500 0.2500 0.2500
Hg 0.2500 0.7500 0.7500
Hg 0.7500 0.2500 0.7500
Hg 0.7500 0.7500 0.2500
Sb 0.2500 0.2500 0.7500
Sb 0.2500 0.7500 0.2500
Sb 0.7500 0.2500 0.2500
Sb 0.7500 0.7500 0.7500

Top 10 peaks for 10 to 90 degrees two-theta, sorted by position:
| 2θ (°) | d (Å) | I_rel |
| --- | --- | --- |
| 23.5 | 3.788 | 16 |
| 27.2 | 3.280 | 64 |
| 38.8 | 2.319 | 100 |
| 45.9 | 1.978 | 8 |
| 48.0 | 1.894 | 19 |
| 56.1 | 1.640 | 17 |
| 63.4 | 1.467 | 25 |
| 70.3 | 1.339 | 34 |
| 83.3 | 1.160 | 11 |
| 89.7 | 1.093 | 13 |

---

Entry 2:
Structure and theoretical X-ray powder pattern of ScCr2Hg (a PBE-relaxed structure; λ = 1.5418 Å (Cu Kα)).
Kinematic intensities with the Lorentz-polarization factor, no thermal factor.

Cell and atoms:
Cell: 4.6649 4.6649 6.5875 Å, 90.00 90.00 90.00°
Element x y z (fractional)
Sc 0.0000 0.0000 0.0000
Sc 0.5000 0.5000 0.5000
Cr 0.0000 0.0000 0.5000
Cr 0.0000 0.5000 0.2500
Cr 0.5000 0.0000 0.7500
Cr 0.5000 0.5000 0.0000
Hg 0.0000 0.5000 0.7500
Hg 0.5000 0.0000 0.2500

Top 10 peaks for 10 to 90 degrees two-theta, sorted by position:
| 2θ (°) | d (Å) | I_rel |
| --- | --- | --- |
| 23.4 | 3.807 | 40 |
| 27.0 | 3.297 | 24 |
| 38.6 | 2.331 | 100 |
| 45.6 | 1.988 | 23 |
| 47.8 | 1.904 | 7 |
| 55.8 | 1.648 | 17 |
| 61.3 | 1.513 | 10 |
| 63.0 | 1.474 | 10 |
| 69.9 | 1.346 | 33 |
| 82.8 | 1.166 | 10 |

---

Entry 3:
Structure and theoretical X-ray powder pattern of Cr2HgSe4 (a PBE-relaxed structure; λ = 1.5418 Å (Cu Kα)).
Kinematic intensities with the Lorentz-polarization factor, no thermal factor.

Cell and atoms:
Cell: 7.7052 7.7052 7.7052 Å, 60.00 60.00 60.00°
Element x y z (fractional)
Cr 0.0000 0.0000 0.0000
Cr 0.0000 0.0000 0.5000
Cr 0.0000 0.5000 0.0000
Cr 0.5000 0.0000 0.0000
Hg 0.3750 0.3750 0.3750
Hg 0.6250 0.6250 0.6250
Se 0.2002 0.7666 0.7666
Se 0.2334 0.2334 0.2334
Se 0.2334 0.2334 0.7998
Se 0.2334 0.7998 0.2334
Se 0.7666 0.2002 0.7666
Se 0.7666 0.7666 0.2002
Se 0.7666 0.7666 0.7666
Se 0.7998 0.2334 0.2334

Top 10 peaks for 10 to 90 degrees two-theta, sorted by position:
| 2θ (°) | d (Å) | I_rel |
| --- | --- | --- |
| 23.1 | 3.853 | 93 |
| 27.1 | 3.286 | 88 |
| 28.4 | 3.146 | 30 |
| 35.9 | 2.500 | 36 |
| 40.6 | 2.224 | 34 |
| 43.1 | 2.097 | 74 |
| 47.2 | 1.926 | 100 |
| 63.9 | 1.456 | 28 |
| 65.8 | 1.419 | 19 |
| 87.8 | 1.112 | 24 |

---

Entry 4:
Structure and theoretical X-ray powder pattern of CrSiHg2 (a PBE-relaxed structure; λ = 1.5418 Å (Cu Kα)).
Kinematic intensities with the Lorentz-polarization factor, no thermal factor.

Cell and atoms:
Cell: 8.6881 2.9338 8.4699 Å, 90.00 120.76 90.00°
Element x y z (fractional)
Cr 0.0000 0.0000 0.0000
Cr 0.5000 0.5000 0.0000
Si 0.2752 0.0000 0.9995
Si 0.7752 0.5000 0.9995
Hg 0.2066 0.5000 0.3195
Hg 0.3877 0.0000 0.6802
Hg 0.7066 0.0000 0.3195
Hg 0.8877 0.5000 0.6802

Top 10 peaks for 10 to 90 degrees two-theta, sorted by position:
| 2θ (°) | d (Å) | I_rel |
| --- | --- | --- |
| 20.4 | 4.344 | 95 |
| 23.9 | 3.730 | 18 |
| 32.1 | 2.790 | 21 |
| 32.8 | 2.730 | 17 |
| 37.1 | 2.426 | 27 |
| 37.3 | 2.412 | 100 |
| 41.6 | 2.172 | 18 |
| 42.7 | 2.118 | 28 |
| 48.0 | 1.897 | 43 |
| 65.3 | 1.429 | 17 |

---

Entry 5:
Structure and theoretical X-ray powder pattern of Sr2CrHg (a PBE-relaxed structure; λ = 1.5418 Å (Cu Kα)).
Kinematic intensities with the Lorentz-polarization factor, no thermal factor.

Cell and atoms:
Cell: 4.6099 4.8384 6.5694 Å, 90.00 110.46 90.00°
Element x y z (fractional)
Sr 0.0000 0.0000 0.0000
Sr 0.2898 0.5000 0.5804
Cr 0.5821 0.5000 0.1646
Hg 0.7098 0.0000 0.4206

Top 10 peaks for 10 to 90 degrees two-theta, sorted by position:
| 2θ (°) | d (Å) | I_rel |
| --- | --- | --- |
| 14.4 | 6.155 | 42 |
| 20.6 | 4.317 | 25 |
| 27.7 | 3.221 | 100 |
| 29.1 | 3.071 | 38 |
| 34.6 | 2.594 | 79 |
| 34.7 | 2.588 | 36 |
| 37.2 | 2.419 | 28 |
| 39.1 | 2.305 | 25 |
| 47.9 | 1.900 | 32 |
| 53.1 | 1.724 | 25 |

---

Entry 6:
Structure and theoretical X-ray powder pattern of CrTc4Hg (a PBE-relaxed structure; λ = 1.5418 Å (Cu Kα)).
Kinematic intensities with the Lorentz-polarization factor, no thermal factor.

Cell and atoms:
Cell: 5.1574 5.1574 5.1574 Å, 60.00 60.00 60.00°
Element x y z (fractional)
Cr 0.0000 0.0000 0.0000
Tc 0.3752 0.3752 0.3752
Tc 0.3752 0.3752 0.8743
Tc 0.3752 0.8743 0.3752
Tc 0.8743 0.3752 0.3752
Hg 0.7500 0.7500 0.7500

Top 10 peaks for 10 to 90 degrees two-theta, sorted by position:
| 2θ (°) | d (Å) | I_rel |
| --- | --- | --- |
| 21.1 | 4.211 | 13 |
| 24.4 | 3.647 | 13 |
| 34.8 | 2.579 | 33 |
| 41.0 | 2.199 | 100 |
| 43.0 | 2.106 | 34 |
| 62.4 | 1.489 | 12 |
| 66.6 | 1.404 | 31 |
| 73.4 | 1.289 | 24 |
| 87.8 | 1.112 | 11 |
| 89.0 | 1.100 | 13 |

---

Entry 7:
Structure and theoretical X-ray powder pattern of Cr2HgTe4 (a PBE-relaxed structure; λ = 1.5418 Å (Cu Kα)).
Kinematic intensities with the Lorentz-polarization factor, no thermal factor.

Cell and atoms:
Cell: 8.2845 8.2845 8.2845 Å, 119.97 119.97 90.05°
Element x y z (fractional)
Cr 0.0000 0.0000 0.0000
Cr 0.0000 0.0000 0.5000
Cr 0.0000 0.5000 0.0000
Cr 0.5000 0.0000 0.5000
Hg 0.3750 0.6250 0.7500
Hg 0.6250 0.3750 0.2500
Te 0.2024 0.2342 0.9681
Te 0.2342 0.2024 0.4681
Te 0.2342 0.7661 0.0319
Te 0.2339 0.7658 0.4681
Te 0.7661 0.2342 0.5319
Te 0.7658 0.2339 0.9681
Te 0.7658 0.7976 0.5319
Te 0.7976 0.7658 0.0319

Top 10 peaks for 10 to 90 degrees two-theta, sorted by position:
| 2θ (°) | d (Å) | I_rel |
| --- | --- | --- |
| 21.4 | 4.143 | 57 |
| 25.2 | 3.533 | 47 |
| 26.3 | 3.383 | 63 |
| 30.5 | 2.929 | 34 |
| 33.3 | 2.688 | 33 |
| 40.0 | 2.255 | 62 |
| 43.7 | 2.071 | 100 |
| 59.0 | 1.566 | 20 |
| 80.3 | 1.196 | 22 |
| 85.8 | 1.133 | 24 |

---

Entry 8:
Structure and theoretical X-ray powder pattern of CrHgW (a PBE-relaxed structure; λ = 1.5418 Å (Cu Kα)).
Kinematic intensities with the Lorentz-polarization factor, no thermal factor.

Cell and atoms:
Cell: 3.1182 4.7067 13.7761 Å, 90.00 90.00 90.00°
Element x y z (fractional)
Cr 0.0000 0.0000 0.0000
Cr 0.0000 0.5000 0.5000
Cr 0.5000 0.0000 0.5000
Cr 0.5000 0.5000 0.0000
Hg 0.0000 0.0000 0.3247
Hg 0.0000 0.5000 0.8247
Hg 0.5000 0.0000 0.8247
Hg 0.5000 0.5000 0.3247
W 0.0000 0.0000 0.6339
W 0.0000 0.5000 0.1339
W 0.5000 0.0000 0.1339
W 0.5000 0.5000 0.6339

Top 10 peaks for 10 to 90 degrees two-theta, sorted by position:
| 2θ (°) | d (Å) | I_rel |
| --- | --- | --- |
| 12.9 | 6.888 | 14 |
| 25.9 | 3.444 | 24 |
| 35.1 | 2.554 | 21 |
| 38.2 | 2.353 | 30 |
| 39.2 | 2.296 | 22 |
| 39.8 | 2.262 | 100 |
| 56.0 | 1.643 | 15 |
| 58.9 | 1.569 | 17 |
| 70.2 | 1.340 | 19 |
| 71.5 | 1.319 | 11 |

---

Entry 9:
Structure and theoretical X-ray powder pattern of YCrHg (a PBE-relaxed structure; λ = 1.5418 Å (Cu Kα)).
Kinematic intensities with the Lorentz-polarization factor, no thermal factor.

Cell and atoms:
Cell: 4.8192 4.8192 3.4503 Å, 90.00 90.00 120.00°
Element x y z (fractional)
Y 0.0000 0.0000 0.0000
Cr 0.3333 0.6667 0.5000
Hg 0.6667 0.3333 0.5000

Top 10 peaks for 10 to 90 degrees two-theta, sorted by position:
| 2θ (°) | d (Å) | I_rel |
| --- | --- | --- |
| 21.3 | 4.174 | 40 |
| 25.8 | 3.450 | 14 |
| 33.7 | 2.659 | 100 |
| 37.3 | 2.410 | 71 |
| 45.9 | 1.976 | 18 |
| 51.2 | 1.786 | 31 |
| 65.0 | 1.435 | 30 |
| 66.7 | 1.403 | 25 |
| 67.3 | 1.391 | 12 |
| 89.3 | 1.097 | 14 |

---

Entry 10:
Structure and theoretical X-ray powder pattern of ZnCrHg (a PBE-relaxed structure; λ = 1.5418 Å (Cu Kα)).
Kinematic intensities with the Lorentz-polarization factor, no thermal factor.

Cell and atoms:
Cell: 3.1733 3.6348 9.2469 Å, 90.00 90.00 90.00°
Element x y z (fractional)
Zn 0.0000 0.0000 0.0000
Zn 0.5000 0.5000 0.5000
Cr 0.0000 0.0000 0.6465
Cr 0.5000 0.5000 0.1465
Hg 0.0000 0.0000 0.3270
Hg 0.5000 0.5000 0.8270

Top 10 peaks for 10 to 90 degrees two-theta, sorted by position:
| 2θ (°) | d (Å) | I_rel |
| --- | --- | --- |
| 19.2 | 4.623 | 38 |
| 26.3 | 3.383 | 49 |
| 29.8 | 3.001 | 36 |
| 37.6 | 2.390 | 100 |
| 38.3 | 2.351 | 94 |
| 40.8 | 2.211 | 78 |
| 42.6 | 2.123 | 22 |
| 66.6 | 1.404 | 36 |
| 71.8 | 1.315 | 29 |
| 73.0 | 1.295 | 26 |

---

Entry 11:
Structure and theoretical X-ray powder pattern of Ho4Cr (a PBE-relaxed structure; λ = 1.5418 Å (Cu Kα)).
Kinematic intensities with the Lorentz-polarization factor, no thermal factor.

Cell and atoms:
Cell: 5.3145 5.3145 5.3145 Å, 90.00 90.00 90.00°
Element x y z (fractional)
Ho 0.0000 0.0000 0.0000
Ho 0.0000 0.5000 0.5000
Ho 0.5000 0.0000 0.5000
Ho 0.5000 0.5000 0.0000
Cr 0.5000 0.5000 0.5000

Top 10 peaks for 10 to 90 degrees two-theta, sorted by position:
| 2θ (°) | d (Å) | I_rel |
| --- | --- | --- |
| 16.7 | 5.315 | 3 |
| 23.7 | 3.758 | 2 |
| 29.1 | 3.068 | 100 |
| 33.7 | 2.657 | 71 |
| 48.4 | 1.879 | 52 |
| 57.5 | 1.602 | 45 |
| 60.3 | 1.534 | 18 |
| 70.9 | 1.329 | 8 |
| 78.4 | 1.219 | 19 |
| 80.9 | 1.188 | 23 |

---

Entry 12:
Structure and theoretical X-ray powder pattern of HoMnCr (a PBE-relaxed structure; λ = 1.5418 Å (Cu Kα)).
Kinematic intensities with the Lorentz-polarization factor, no thermal factor.

Cell and atoms:
Cell: 6.6436 6.6436 5.7577 Å, 90.00 90.00 90.00°
Element x y z (fractional)
Ho 0.2300 0.2300 0.0000
Ho 0.2700 0.7300 0.2500
Ho 0.7300 0.2700 0.7500
Ho 0.7700 0.7700 0.5000
Mn 0.1921 0.8079 0.7500
Mn 0.3079 0.3079 0.5000
Mn 0.6921 0.6921 0.0000
Mn 0.8079 0.1921 0.2500
Cr 0.0684 0.0684 0.5000
Cr 0.4316 0.5684 0.7500
Cr 0.5684 0.4316 0.2500
Cr 0.9316 0.9316 0.0000

Top 10 peaks for 10 to 90 degrees two-theta, sorted by position:
| 2θ (°) | d (Å) | I_rel |
| --- | --- | --- |
| 18.9 | 4.698 | 18 |
| 20.4 | 4.351 | 32 |
| 26.8 | 3.322 | 64 |
| 34.0 | 2.640 | 56 |
| 36.6 | 2.455 | 100 |
| 38.3 | 2.349 | 39 |
| 43.8 | 2.067 | 21 |
| 46.0 | 1.974 | 19 |
| 54.0 | 1.697 | 32 |
| 68.2 | 1.376 | 14 |

---

Entry 13:
Structure and theoretical X-ray powder pattern of HoCrN2 (a PBE-relaxed structure; λ = 1.5418 Å (Cu Kα)).
Kinematic intensities with the Lorentz-polarization factor, no thermal factor.

Cell and atoms:
Cell: 3.2338 3.2338 15.1342 Å, 90.00 90.00 120.00°
Element x y z (fractional)
Ho 0.0000 0.0000 0.0000
Ho 0.3333 0.6667 0.6667
Ho 0.6667 0.3333 0.3333
Cr 0.0000 0.0000 0.5000
Cr 0.3333 0.6667 0.1667
Cr 0.6667 0.3333 0.8333
N 0.0000 0.0000 0.2386
N 0.0000 0.0000 0.7614
N 0.3333 0.6667 0.4281
N 0.3333 0.6667 0.9052
N 0.6667 0.3333 0.0948
N 0.6667 0.3333 0.5719

Top 10 peaks for 10 to 90 degrees two-theta, sorted by position:
| 2θ (°) | d (Å) | I_rel |
| --- | --- | --- |
| 17.6 | 5.045 | 45 |
| 32.5 | 2.754 | 37 |
| 34.1 | 2.626 | 96 |
| 35.6 | 2.522 | 29 |
| 40.1 | 2.251 | 100 |
| 44.1 | 2.056 | 19 |
| 57.0 | 1.617 | 34 |
| 58.9 | 1.568 | 30 |
| 69.0 | 1.361 | 26 |
| 71.9 | 1.313 | 16 |

---

Entry 14:
Structure and theoretical X-ray powder pattern of Nd2HoCrN4 (a PBE-relaxed structure; λ = 1.5418 Å (Cu Kα)).
Kinematic intensities with the Lorentz-polarization factor, no thermal factor.

Cell and atoms:
Cell: 6.0893 6.0893 12.2181 Å, 90.00 90.00 147.33°
Element x y z (fractional)
Nd 0.1332 0.8668 0.5420
Nd 0.1332 0.8668 0.9580
Nd 0.8668 0.1332 0.0420
Nd 0.8668 0.1332 0.4580
Ho 0.3808 0.6192 0.7500
Ho 0.6192 0.3808 0.2500
Cr 0.3402 0.6598 0.2500
Cr 0.6598 0.3402 0.7500
N 0.0785 0.9215 0.7500
N 0.2256 0.7744 0.1412
N 0.2256 0.7744 0.3588
N 0.5000 0.5000 0.0000
N 0.5000 0.5000 0.5000
N 0.7744 0.2256 0.6412
N 0.7744 0.2256 0.8588
N 0.9215 0.0785 0.2500

Top 10 peaks for 10 to 90 degrees two-theta, sorted by position:
| 2θ (°) | d (Å) | I_rel |
| --- | --- | --- |
| 26.7 | 3.341 | 79 |
| 29.2 | 3.055 | 46 |
| 30.6 | 2.922 | 62 |
| 30.9 | 2.895 | 100 |
| 35.7 | 2.517 | 32 |
| 38.0 | 2.371 | 94 |
| 42.8 | 2.111 | 29 |
| 46.3 | 1.961 | 36 |
| 51.6 | 1.772 | 22 |
| 54.9 | 1.672 | 24 |

---

Entry 15:
Structure and theoretical X-ray powder pattern of HoPa2CrN5 (a PBE-relaxed structure; λ = 1.5418 Å (Cu Kα)).
Kinematic intensities with the Lorentz-polarization factor, no thermal factor.

Cell and atoms:
Cell: 6.9879 6.9879 10.0949 Å, 90.00 90.00 152.32°
Element x y z (fractional)
Ho 0.2021 0.7979 0.5000
Ho 0.7979 0.2021 0.0000
Pa 0.1112 0.8888 0.1838
Pa 0.1404 0.8596 0.8000
Pa 0.8596 0.1404 0.3000
Pa 0.8888 0.1112 0.6838
Cr 0.4847 0.5153 0.9620
Cr 0.5153 0.4847 0.4620
N 0.0342 0.9658 0.5421
N 0.2839 0.7161 0.1709
N 0.3311 0.6689 0.8464
N 0.3695 0.6305 0.4984
N 0.4817 0.5183 0.2783
N 0.5183 0.4817 0.7783
N 0.6305 0.3695 0.9984
N 0.6689 0.3311 0.3464
N 0.7161 0.2839 0.6709
N 0.9658 0.0342 0.0421

Top 10 peaks for 10 to 90 degrees two-theta, sorted by position:
| 2θ (°) | d (Å) | I_rel |
| --- | --- | --- |
| 26.3 | 3.392 | 27 |
| 27.5 | 3.246 | 46 |
| 29.6 | 3.015 | 100 |
| 31.8 | 2.816 | 60 |
| 32.8 | 2.730 | 37 |
| 33.3 | 2.689 | 71 |
| 34.5 | 2.598 | 28 |
| 38.5 | 2.336 | 100 |
| 46.7 | 1.945 | 35 |
| 54.9 | 1.672 | 28 |